Li2CoGe3O8: theoretical powder XRD pattern (Cu Kα, 1.54184 Å), based on a cell relaxed with GGA+U.
Kinematic intensities with the Lorentz-polarization factor, no thermal factor.

Principal peaks in the range 10° ≤ 2θ ≤ 90°, sorted by position:
2θ (°)	Rel. int.	index
18.48	56.1	1 1 1
23.92	32.9	2 1 0
35.81	100.0	3 1 1
43.52	41.9	4 0 0
57.58	40.7	5 1 1
63.24	50.7	4 4 0

Atomic structure:
```
data_Li2CoGe3O8
_chemical_formula_sum 'Li8 Co4 Ge12 O32'
_symmetry_space_group_name_H-M 'P 21 3'
_symmetry_Int_Tables_number 198
_symmetry_space_group_name_Hall 'P 2ac 2ab 3'
_cell_length_a 8.3174
_cell_length_b 8.3174
_cell_length_c 8.3174
_cell_angle_alpha 90.00
_cell_angle_beta 90.00
_cell_angle_gamma 90.00
loop_
_atom_site_label
_atom_site_type_symbol
_atom_site_fract_x
_atom_site_fract_y
_atom_site_fract_z
Li1 Li 0.0023 0.0023 0.0023
Li2 Li 0.1256 0.8744 0.3744
Co1 Co 0.2467 0.2467 0.2467
Ge1 Ge 0.1266 0.6277 0.1281
O1 O 0.0995 0.1291 0.3935
O2 O 0.1134 0.6134 0.8866
O3 O 0.1182 0.1496 0.8558
O4 O 0.1348 0.3652 0.6348
```